Record 1
This entry pairs a crystal structure of KVH6SO9 with its theoretical X-ray powder pattern. Radiation: Cu Ka. Structure: a PBE+U-relaxed structure.
Lines closer than 0.1° are merged.

Cell and atoms:
Cell: 6.281 9.951 6.624 Å, 90.00 107.11 90.00°
Space group P2_1 (No. 4)
Symmetry-distinct sites (fractional):
K  0.200  0.000  0.187
V  0.111  0.349  0.377
H  0.036  0.113  0.663
H  0.186  0.613  0.258
H  0.263  0.563  0.693
H  0.300  0.429  0.820
H  0.387  0.699  0.077
H  0.470  0.203  0.687
S  0.425  0.849  0.737
O  0.037  0.288  0.136
O  0.056  0.557  0.270
O  0.177  0.213  0.535
O  0.194  0.880  0.590
O  0.200  0.472  0.693
O  0.376  0.712  0.220
O  0.428  0.397  0.394
O  0.449  0.704  0.778
O  0.469  0.928  0.931

Principal peaks in the range 5 to 70 degrees two-theta, sorted by position:
| 2θ/deg | intensity | (hkl) |
| --- | --- | --- |
| 13.99 | 26 | 0 0 1 |
| 16.60 | 100 | 0 1 1 |
| 17.83 | 78 | 0 2 0 |
| 23.23 | 22 | 1 0 1 |
| 29.61 | 23 | 0 1 2 |
| 30.32 | 48 | 2 1 -1 |
| 30.42 | 67 | 0 3 1 |
| 31.12 | 34 | 2 1 0 |
| 39.19 | 28 | 2 2 -2 |
| 40.22 | 24 | 1 2 2 |

***

Record 2
This entry pairs a crystal structure of KVH2SO7 with its theoretical X-ray powder pattern. Radiation: Cu Ka. Structure: a PBE+U-relaxed structure.
Lines closer than 0.1° are merged.

Cell and atoms:
Cell: 4.722 10.869 11.667 Å, 90.00 90.00 90.00°
Space group P2_12_12_1 (No. 19)
Symmetry-distinct sites (fractional):
K  0.206  0.090  0.088
V  0.166  0.293  0.400
H  0.096  0.042  0.349
H  0.223  0.583  0.165
S  0.135  0.170  0.801
O  0.026  0.612  0.170
O  0.036  0.051  0.846
O  0.108  0.741  0.755
O  0.126  0.802  0.987
O  0.149  0.859  0.209
O  0.201  0.570  0.920
O  0.249  0.249  0.891

Principal peaks in the range 5 to 70 degrees two-theta, sorted by position:
| 2θ/deg | intensity | (hkl) |
| --- | --- | --- |
| 11.13 | 84 | 0 1 1 |
| 16.31 | 100 | 0 2 0 |
| 18.01 | 56 | 0 2 1 |
| 24.26 | 47 | 1 0 2 |
| 25.62 | 60 | 1 1 2 |
| 26.14 | 98 | 1 2 1 |
| 29.37 | 100 | 1 2 2 |
| 30.90 | 79 | 1 1 3 |
| 31.76 | 51 | 0 1 4 |
| 41.33 | 41 | 1 4 2 |

***

Record 3
This entry pairs a crystal structure of K4H6W2S2O9 with its theoretical X-ray powder pattern. Radiation: Cu Ka. Structure: a PBE+U-relaxed structure.
Lines closer than 0.1° are merged.

Cell and atoms:
Cell: 10.084 8.430 19.019 Å, 90.00 99.28 90.00°
Space group C2/c (No. 15)
Symmetry-distinct sites (fractional):
K  0.066  0.196  0.061
K  0.208  0.013  0.784
H  0.007  0.286  0.210
H  0.243  0.310  0.582
H  0.245  0.036  0.461
W  0.074  0.384  0.880
S  0.068  0.175  0.624
O  0.000  0.211  0.250
O  0.021  0.438  0.150
O  0.160  0.409  0.970
O  0.192  0.106  0.425
O  0.199  0.341  0.824

Principal peaks in the range 5 to 70 degrees two-theta, sorted by position:
| 2θ/deg | intensity | (hkl) |
| --- | --- | --- |
| 13.77 | 78 | 1 1 0 |
| 14.08 | 100 | 1 1 -1 |
| 18.91 | 65 | 0 0 4 |
| 20.81 | 34 | 1 1 3 |
| 21.57 | 78 | 2 0 2 |
| 22.26 | 58 | 1 1 -4 |
| 25.48 | 49 | 0 2 3 |
| 26.21 | 31 | 1 1 -5 |
| 27.66 | 52 | 2 2 -1 |
| 29.06 | 52 | 3 1 -2 |